Theoretical powder X-ray diffraction pattern
Compound: CeC
Radiation: Cu Kα X-rays
Structure: the GGA-PBE geometry in Alexandria
Peak positions follow from Bragg's law for the DFT cell and can differ from measured ones.

Main lines, in order of rising 2θ (2θ = 10–80°):
two_theta  intensity
27.22  62
29.40  100
35.11  42
36.30  79
37.03  26
44.36  41
48.19  17
56.23  17
57.79  21
61.73  25

Cell and atoms:
Cell: 5.3965 5.3965 3.7766 Å, 90.00 90.00 142.62°
Element x y z (fractional)
Ce  0.1253  0.8747  0.7500
Ce  0.8747  0.1253  0.2500
C  0.3559  0.6441  0.7500
C  0.6441  0.3559  0.2500

***

Theoretical powder X-ray diffraction pattern
Compound: Ce8C8Cl5
Radiation: Cu Kα X-rays
Structure: the GGA-PBE geometry in Alexandria
Peak positions follow from Bragg's law for the DFT cell and can differ from measured ones.

Main lines, in order of rising 2θ (2θ = 10–80°):
two_theta  intensity
12.01  40
25.53  48
27.35  23
29.69  100
31.43  20
32.73  56
33.03  24
36.97  29
43.72  20
47.50  23

Cell and atoms:
Cell: 7.5828 16.5714 6.6617 Å, 90.00 103.68 90.00°
Element x y z (fractional)
Ce  0.0681  0.1941  0.1318
Ce  0.0681  0.3059  0.6318
Ce  0.1454  0.0687  0.6202
Ce  0.1454  0.4313  0.1202
Ce  0.2203  0.5496  0.6092
Ce  0.2203  0.9504  0.1092
Ce  0.2973  0.6719  0.0948
Ce  0.2973  0.8281  0.5948
Ce  0.7027  0.1719  0.4052
Ce  0.7027  0.3281  0.9052
Ce  0.7797  0.0496  0.8908
Ce  0.7797  0.4504  0.3908
Ce  0.8546  0.5687  0.8798
Ce  0.8546  0.9313  0.3798
Ce  0.9319  0.6941  0.3682
Ce  0.9319  0.8059  0.8682
C  0.0272  0.0391  0.2237
C  0.0272  0.4609  0.7237
C  0.0445  0.6605  0.7629
C  0.0445  0.8395  0.2629
C  0.1063  0.5851  0.2172
C  0.1063  0.9149  0.7172
C  0.1618  0.7167  0.7100
C  0.1618  0.7833  0.2100
C  0.8382  0.2167  0.7900
C  0.8382  0.2833  0.2900
C  0.8937  0.0851  0.2828
C  0.8937  0.4149  0.7828
C  0.9555  0.1605  0.7371
C  0.9555  0.3395  0.2371
C  0.9728  0.5391  0.2763
C  0.9728  0.9609  0.7763
Cl  0.3472  0.2035  0.5222
Cl  0.3472  0.2965  0.0222
Cl  0.4104  0.0979  0.0173
Cl  0.4104  0.4021  0.5173
Cl  0.5000  0.0000  0.5000
Cl  0.5000  0.5000  0.0000
Cl  0.5896  0.5979  0.4827
Cl  0.5896  0.9021  0.9827
Cl  0.6528  0.7035  0.9778
Cl  0.6528  0.7965  0.4778

***

Theoretical powder X-ray diffraction pattern
Compound: Ce5C2Cl2
Radiation: Cu Kα X-rays
Structure: the GGA-PBE geometry in Alexandria
Peak positions follow from Bragg's law for the DFT cell and can differ from measured ones.

Main lines, in order of rising 2θ (2θ = 10–80°):
two_theta  intensity
13.90  80
22.31  54
24.44  39
29.42  100
30.97  82
34.21  55
35.27  82
40.22  40
44.87  34
54.25  31

Cell and atoms:
Cell: 7.2746 7.2746 8.6650 Å, 112.13 112.13 32.24°
Element x y z (fractional)
Ce  0.0000  0.0000  0.0000
Ce  0.1364  0.1364  0.4422
Ce  0.3446  0.3446  0.9110
Ce  0.6554  0.6554  0.0890
Ce  0.8636  0.8636  0.5578
C  0.3093  0.3093  0.6320
C  0.6907  0.6907  0.3680
Cl  0.0997  0.0997  0.7578
Cl  0.9003  0.9003  0.2422

***

Theoretical powder X-ray diffraction pattern
Compound: Ce2CCl2
Radiation: Cu Kα X-rays
Structure: the GGA-PBE geometry in Alexandria
Peak positions follow from Bragg's law for the DFT cell and can differ from measured ones.

Main lines, in order of rising 2θ (2θ = 10–80°):
two_theta  intensity
18.88  47
24.79  43
26.15  40
26.62  40
27.64  36
28.35  100
32.41  30
36.52  42
38.26  25
40.95  34

Cell and atoms:
Cell: 9.0197 7.6886 6.9239 Å, 90.00 100.20 90.00°
Element x y z (fractional)
Ce  0.0642  0.1327  0.3127
Ce  0.0642  0.3673  0.8127
Ce  0.3449  0.5237  0.2709
Ce  0.3449  0.9763  0.7709
Ce  0.6551  0.0237  0.2291
Ce  0.6551  0.4763  0.7291
Ce  0.9358  0.6327  0.1873
Ce  0.9358  0.8673  0.6873
C  0.1188  0.0908  0.6594
C  0.1188  0.4092  0.1594
C  0.8812  0.5908  0.8406
C  0.8812  0.9092  0.3406
Cl  0.1986  0.6452  0.6075
Cl  0.1986  0.8548  0.1075
Cl  0.4376  0.2019  0.4651
Cl  0.4376  0.2981  0.9651
Cl  0.5624  0.7019  0.0349
Cl  0.5624  0.7981  0.5349
Cl  0.8014  0.1452  0.8925
Cl  0.8014  0.3548  0.3925